Structure and computed X-ray powder pattern of MnGa4Ni15 (a structure optimized by DFT (PBE); CuKα).
Peak positions follow from Bragg's law for the DFT cell and can differ from measured ones.

Principal peaks in the range 5° ≤ 2θ ≤ 70°, most intense first:
- 2θ = 43.92°, I = 100, (1 1 5)
- 2θ = 51.07°, I = 31, (2 0 0)
- 2θ = 51.35°, I = 15, (0 0 10)

Cell and atoms:
abc: 3.5766 3.5766 17.7933
angles: 90.00 90.00 90.00
Space group P4/mmm (No. 123)
Symmetry-distinct sites (fractional):
Mn 0.0000 0.0000 0.0000 x1
Ga 0.0000 0.0000 0.1995 x2
Ga 0.0000 0.0000 0.3997 x2
Ni 0.0000 0.5000 0.0984 x4
Ni 0.0000 0.5000 0.2986 x4
Ni 0.0000 0.5000 0.5000 x2
Ni 0.5000 0.5000 0.0000 x1
Ni 0.5000 0.5000 0.1981 x2
Ni 0.5000 0.5000 0.3990 x2

---

Structure and computed X-ray powder pattern of KU3O7 (a structure optimized by DFT (PBE); CuKα).
Peak positions follow from Bragg's law for the DFT cell and can differ from measured ones.

Principal peaks in the range 5° ≤ 2θ ≤ 70°, most intense first:
- 2θ = 21.17°, I = 100, (0 0 1)
- 2θ = 43.58°, I = 58, (2 4 1)
- 2θ = 25.89°, I = 57, (2 0 0)
- 2θ = 37.63°, I = 53, (2 4 0)
- 2θ = 26.84°, I = 46, (0 4 0)
- 2θ = 33.68°, I = 43, (2 0 1)

Cell and atoms:
abc: 6.8835 13.2887 4.1966
angles: 90.00 90.00 90.00
Space group Cmmm (No. 65)
Symmetry-distinct sites (fractional):
K 0.0000 0.0000 0.0000 x2
U 0.0000 0.2359 0.0000 x4
U 0.0000 0.5000 0.0000 x2
O 0.0000 0.2143 0.5000 x4
O 0.0000 0.5000 0.5000 x2
O 0.2116 0.3644 0.0000 x8

---

Structure and computed X-ray powder pattern of KFeSe2 (a structure optimized by DFT (PBE); CuKα).
Peak positions follow from Bragg's law for the DFT cell and can differ from measured ones.

Principal peaks in the range 5° ≤ 2θ ≤ 70°, most intense first:
- 2θ = 15.12°, I = 100, (0 2 0)
- 2θ = 29.64°, I = 88, (2 2 -1)
- 2θ = 26.42°, I = 69, (1 1 1)
- 2θ = 34.30°, I = 35, (1 3 1)
- 2θ = 39.51°, I = 33, (1 3 -2)
- 2θ = 42.54°, I = 28, (1 1 2)

Cell and atoms:
abc: 7.3215 11.7178 5.6190
angles: 90.00 112.49 90.00
Space group C2/c (No. 15)
Symmetry-distinct sites (fractional):
K 0.0000 0.1381 0.2500 x4
Fe 0.0000 0.4981 0.7500 x4
Se 0.1962 0.3872 0.0995 x8

---

Structure and computed X-ray powder pattern of PmCu2H8Rh3 (a structure optimized by DFT (PBE); CuKα).
Peak positions follow from Bragg's law for the DFT cell and can differ from measured ones.

Principal peaks in the range 5° ≤ 2θ ≤ 70°, most intense first:
- 2θ = 38.38°, I = 100, (2 0 2)
- 2θ = 37.12°, I = 87, (1 1 3)
- 2θ = 36.50°, I = 70, (0 2 1)
- 2θ = 32.34°, I = 39, (1 0 4)
- 2θ = 64.43°, I = 29, (2 2 0)
- 2θ = 67.68°, I = 24, (2 0 8)

Cell and atoms:
abc: 5.7846 5.7846 13.2881
angles: 90.00 90.00 120.00
Space group R3m (No. 160, hexagonal axes)
Symmetry-distinct sites (fractional):
Pm 0.0000 0.0000 0.0000 x3
Cu 0.0000 0.0000 0.3857 x3
Cu 0.0000 0.0000 0.7516 x3
H 0.0000 0.0000 0.1661 x3
H 0.0000 0.0000 0.6206 x3
H 0.0167 0.5083 0.1418 x9
H 0.2099 0.4198 0.9487 x9
Rh 0.1697 0.3395 0.2139 x9

---

Structure and computed X-ray powder pattern of FeNiMo3N (a structure optimized by DFT (PBE); CuKα).
Peak positions follow from Bragg's law for the DFT cell and can differ from measured ones.

Principal peaks in the range 5° ≤ 2θ ≤ 70°, most intense first:
- 2θ = 40.42°, I = 100, (2 2 1)
- 2θ = 42.71°, I = 57, (3 0 1)
- 2θ = 44.90°, I = 24, (3 1 1)
- 2θ = 58.49°, I = 8, (4 1 1)
- 2θ = 61.99°, I = 7, (4 0 2)
- 2θ = 29.84°, I = 7, (2 1 0)

Cell and atoms:
abc: 6.6949 6.6949 6.6949
angles: 90.00 90.00 90.00
Space group P2_13 (No. 198)
Symmetry-distinct sites (fractional):
Fe 0.1772 0.1772 0.1772 x4
Ni 0.0665 0.9335 0.4335 x4
Mo 0.0454 0.1283 0.7994 x12
N 0.1241 0.3759 0.6241 x4

---

Structure and computed X-ray powder pattern of Zn2InSi (a structure optimized by DFT (PBE); CuKα).
Peak positions follow from Bragg's law for the DFT cell and can differ from measured ones.

Principal peaks in the range 5° ≤ 2θ ≤ 70°, most intense first:
- 2θ = 34.77°, I = 100, (1 1 1)
- 2θ = 33.39°, I = 53, (2 0 -2)
- 2θ = 45.37°, I = 49, (3 1 -1)
- 2θ = 41.11°, I = 27, (2 0 2)
- 2θ = 52.39°, I = 23, (1 1 -3)
- 2θ = 47.12°, I = 21, (4 0 0)

Cell and atoms:
abc: 7.8797 3.1884 6.2754
angles: 90.00 101.73 90.00
Space group Cm (No. 8)
Symmetry-distinct sites (fractional):
Zn 0.0000 0.0000 0.0000 x2
Zn 0.2446 0.5000 0.2104 x2
In 0.2417 0.0000 0.7037 x2
Si 0.4853 0.0000 0.3869 x2

---

Structure and computed X-ray powder pattern of Pm5Nd3Y3 (a structure optimized by DFT (PBE); CuKα).
Peak positions follow from Bragg's law for the DFT cell and can differ from measured ones.

Principal peaks in the range 5° ≤ 2θ ≤ 70°, most intense first:
- 2θ = 31.94°, I = 100, (0 0 2)
- 2θ = 32.38°, I = 89, (2 1 1)
- 2θ = 24.26°, I = 64, (1 1 1)
- 2θ = 10.51°, I = 45, (1 0 0)
- 2θ = 41.94°, I = 42, (3 1 1)
- 2θ = 15.83°, I = 42, (0 0 1)

Cell and atoms:
abc: 9.7150 9.7150 5.5992
angles: 90.00 90.00 120.00
Space group P-62m (No. 189)
Symmetry-distinct sites (fractional):
Pm 0.0000 0.3817 0.0000 x3
Pm 0.3333 0.6667 0.0000 x2
Nd 0.0000 0.5883 0.5000 x3
Y 0.0000 0.7520 0.0000 x3

---

Structure and computed X-ray powder pattern of K8H (a structure optimized by DFT (PBE); CuKα).
Peak positions follow from Bragg's law for the DFT cell and can differ from measured ones.

Principal peaks in the range 5° ≤ 2θ ≤ 70°, most intense first:
- 2θ = 25.60°, I = 100, (0 2 1)
- 2θ = 23.75°, I = 25, (0 0 2)
- 2θ = 22.63°, I = 23, (2 0 0)
- 2θ = 46.81°, I = 19, (2 2 2)
- 2θ = 39.73°, I = 18, (2 2 0)
- 2θ = 42.91°, I = 17, (0 2 3)

Cell and atoms:
abc: 9.0758 9.0758 7.4916
angles: 90.00 90.00 120.00
Space group P-3m1 (No. 164)
Symmetry-distinct sites (fractional):
K 0.1565 0.3130 0.2721 x6
K 0.3333 0.6667 0.7869 x2
H 0.0000 0.0000 0.5000 x1